Entry 1:
Structure and simulated powder XRD pattern of GaAg2Au3 (the GGA-PBE geometry in Alexandria; λ = 1.5418 Å (Cu Kα)).
Intensities are scaled so that the largest is 100.

Structural model:
Cell lengths 4.321, 7.575, 6.834 Å; angles 90.00, 107.52, 90.00 degrees
Space group P2/m (No. 10)
Unique sites:
Ga (0.158, 0.000, 0.310)
Ag (0.171, 0.500, 0.338)
Ag (0.500, 0.000, 0.000)
Ag (0.500, 0.500, 0.000)
Au (0.000, 0.251, 0.000)
Au (0.325, 0.230, 0.655)

Peak list (6 most intense, 2θ = 15–90°, by angle)
37.58 deg, I 100, (1 2 1)
37.96 deg, I 97, (1 2 -2)
41.58 deg, I 38, (0 0 3)
41.82 deg, I 39, (2 0 -1)
48.05 deg, I 23, (0 4 0)
65.56 deg, I 18, (2 4 -1)

***

Entry 2:
Structure and simulated powder XRD pattern of Ni3GePt (the GGA-PBE geometry in Alexandria; λ = 1.5418 Å (Cu Kα)).
Intensities are scaled so that the largest is 100.

Structural model:
Cell lengths 6.981, 4.031, 9.129 Å; angles 90.00, 95.46, 90.00 degrees
Space group P2_1/m (No. 11)
Unique sites:
Ni (0.029, 0.250, 0.276)
Ni (0.124, 0.750, 0.485)
Ni (0.175, 0.250, 0.658)
Ni (0.274, 0.750, 0.962)
Ni (0.355, 0.250, 0.130)
Ni (0.432, 0.250, 0.869)
Ge (0.258, 0.750, 0.255)
Ge (0.343, 0.750, 0.710)
Pt (0.051, 0.250, 0.913)
Pt (0.369, 0.250, 0.435)

Peak list (6 most intense, 2θ = 15–90°, by angle)
29.63 deg, I 44, (0 1 2)
40.36 deg, I 57, (1 1 3)
40.84 deg, I 65, (2 1 2)
43.92 deg, I 100, (2 1 -3)
44.98 deg, I 88, (0 2 0)
45.14 deg, I 43, (3 1 0)

***

Entry 3:
Structure and simulated powder XRD pattern of DyTm2PuP4 (the GGA-PBE geometry in Alexandria; λ = 1.5418 Å (Cu Kα)).
Intensities are scaled so that the largest is 100.

Structural model:
Cell lengths 6.865, 3.980, 6.873 Å; angles 90.00, 109.51, 90.00 degrees
Space group P2/m (No. 10)
Unique sites:
Dy (0.000, 0.000, 0.000)
Tm (0.500, 0.000, 0.500)
Tm (0.500, 0.500, 0.000)
Pu (0.000, 0.500, 0.500)
P (0.251, 0.000, 0.748)
P (0.252, 0.500, 0.253)

Peak list (6 most intense, 2θ = 15–90°, by angle)
27.52 deg, I 96, (2 0 0)
31.88 deg, I 100, (1 1 1)
45.73 deg, I 61, (2 0 2)
54.10 deg, I 16, (2 2 0)
54.22 deg, I 31, (3 1 1)
75.76 deg, I 17, (4 2 0)

***

Entry 4:
Structure and simulated powder XRD pattern of Ba3In3Au8 (the GGA-PBE geometry in Alexandria; λ = 1.5418 Å (Cu Kα)).
Intensities are scaled so that the largest is 100.

Structural model:
Cell lengths 4.926, 10.115, 14.520 Å; angles 90.00, 90.00, 90.00 degrees
Space group Immm (No. 71)
Unique sites:
Ba (0.000, 0.000, 0.000)
Ba (0.000, 0.000, 0.292)
In (0.000, 0.201, 0.500)
In (0.000, 0.500, 0.000)
Au (0.000, 0.287, 0.135)
Au (0.000, 0.360, 0.339)

Peak list (6 most intense, 2θ = 15–90°, by angle)
30.31 deg, I 44, (0 2 4)
31.37 deg, I 100, (1 2 3)
31.88 deg, I 42, (1 1 4)
32.17 deg, I 68, (1 3 0)
36.48 deg, I 80, (2 0 0)
40.86 deg, I 40, (1 3 4)

***

Entry 5:
Structure and simulated powder XRD pattern of Ba4Y2Cu6O13 (the GGA-PBE geometry in Alexandria; λ = 1.5418 Å (Cu Kα)).
Intensities are scaled so that the largest is 100.

Structural model:
Cell lengths 7.719, 7.855, 24.102 Å; angles 90.00, 90.00, 90.00 degrees
Space group Fmmm (No. 69)
Unique sites:
Ba (0.242, 0.000, 0.096)
Y (0.250, 0.000, 0.250)
Cu (0.000, 0.242, 0.000)
Cu (0.000, 0.249, 0.317)
O (0.000, 0.000, 0.000)
O (0.000, 0.000, 0.188)
O (0.000, 0.000, 0.309)
O (0.000, 0.227, 0.425)
O (0.250, 0.250, 0.190)

Peak list (6 most intense, 2θ = 15–90°, by angle)
31.87 deg, I 86, (0 2 6)
32.16 deg, I 90, (2 0 6)
32.53 deg, I 100, (2 2 0)
46.23 deg, I 29, (0 4 0)
57.43 deg, I 34, (2 4 6)
57.99 deg, I 30, (4 2 6)

***

Entry 6:
Structure and simulated powder XRD pattern of La3Pu2ThTe6 (the GGA-PBE geometry in Alexandria; λ = 1.5418 Å (Cu Kα)).
Intensities are scaled so that the largest is 100.

Structural model:
Cell lengths 19.690, 4.492, 9.065 Å; angles 90.00, 103.54, 90.00 degrees
Space group C2/m (No. 12)
Unique sites:
La (0.000, 0.000, 0.000)
La (0.166, 0.500, 0.334)
Pu (0.167, 0.500, 0.833)
Th (0.000, 0.000, 0.500)
Te (0.003, 0.500, 0.749)
Te (0.166, 0.000, 0.591)
Te (0.169, 0.000, 0.078)

Peak list (6 most intense, 2θ = 15–90°, by angle)
27.96 deg, I 100, (6 0 0)
39.78 deg, I 13, (2 0 -4)
39.90 deg, I 26, (7 1 -2)
40.02 deg, I 26, (5 1 2)
49.64 deg, I 14, (6 2 0)
57.80 deg, I 13, (2 2 -4)

***

Entry 7:
Structure and simulated powder XRD pattern of BeReSb2 (the GGA-PBE geometry in Alexandria; λ = 1.5418 Å (Cu Kα)).
Intensities are scaled so that the largest is 100.

Structural model:
Cell lengths 7.765, 3.427, 7.411 Å; angles 90.00, 121.48, 90.00 degrees
Space group Cm (No. 8)
Unique sites:
Be (0.000, 0.000, 0.000)
Re (0.202, 0.500, 0.000)
Sb (0.022, 0.500, 0.268)
Sb (0.255, 0.000, 0.732)

Peak list (6 most intense, 2θ = 15–90°, by angle)
26.95 deg, I 40, (2 0 -2)
29.35 deg, I 57, (1 1 0)
35.69 deg, I 100, (1 1 1)
36.67 deg, I 67, (2 0 1)
44.44 deg, I 62, (3 1 -1)
46.12 deg, I 31, (1 1 2)

***

Entry 8:
Structure and simulated powder XRD pattern of V2Mo3H4 (the GGA-PBE geometry in Alexandria; λ = 1.5418 Å (Cu Kα)).
Intensities are scaled so that the largest is 100.

Structural model:
Cell lengths 12.067, 9.169, 3.109 Å; angles 90.00, 91.56, 90.00 degrees
Space group C2/c (No. 15)
Unique sites:
V (0.205, 0.119, 0.345)
Mo (0.000, 0.129, 0.750)
Mo (0.096, 0.380, 0.054)
H (0.149, 0.066, 0.839)
H (0.162, 0.295, 0.553)

Peak list (6 most intense, 2θ = 15–90°, by angle)
37.39 deg, I 51, (3 1 -1)
38.34 deg, I 100, (2 2 1)
38.59 deg, I 51, (5 1 0)
39.30 deg, I 46, (0 4 0)
47.05 deg, I 30, (3 3 -1)
48.05 deg, I 22, (5 3 0)

***

Entry 9:
Structure and simulated powder XRD pattern of Cr3S4 (the GGA-PBE geometry in Alexandria; λ = 1.5418 Å (Cu Kα)).
Intensities are scaled so that the largest is 100.

Structural model:
Cell lengths 12.625, 3.459, 6.073 Å; angles 90.00, 116.97, 90.00 degrees
Space group C2/m (No. 12)
Unique sites:
Cr (0.000, 0.000, 0.000)
Cr (0.236, 0.500, 0.719)
S (0.125, 0.000, 0.448)
S (0.134, 0.500, 0.980)

Peak list (6 most intense, 2θ = 15–90°, by angle)
29.73 deg, I 49, (1 1 -1)
33.59 deg, I 100, (1 1 1)
34.00 deg, I 68, (4 0 -2)
43.74 deg, I 92, (3 1 1)
44.45 deg, I 76, (5 1 -1)
52.39 deg, I 79, (3 1 -3)

***

Entry 10:
Structure and simulated powder XRD pattern of Na3Tm2ThSe6 (the GGA-PBE geometry in Alexandria; λ = 1.5418 Å (Cu Kα)).
Intensities are scaled so that the largest is 100.

Structural model:
Cell lengths 7.136, 12.364, 7.453 Å; angles 90.00, 108.64, 90.00 degrees
Space group C2/m (No. 12)
Unique sites:
Na (0.000, 0.000, 0.000)
Na (0.000, 0.334, 0.000)
Tm (0.000, 0.167, 0.500)
Th (0.000, 0.500, 0.500)
Se (0.237, 0.000, 0.733)
Se (0.248, 0.329, 0.732)

Peak list (6 most intense, 2θ = 15–90°, by angle)
25.31 deg, I 29, (1 3 0)
30.20 deg, I 100, (1 3 1)
42.51 deg, I 38, (2 0 2)
43.95 deg, I 36, (0 6 0)
54.25 deg, I 19, (4 0 0)
70.21 deg, I 16, (3 3 3)

***

Entry 11:
Structure and simulated powder XRD pattern of Ba4NaTlPb2 (the GGA-PBE geometry in Alexandria; λ = 1.5418 Å (Cu Kα)).
Intensities are scaled so that the largest is 100.

Structural model:
Cell lengths 6.1454, 6.1454, 29.9740 Å; angles 90.00, 90.00, 120.00 degrees
Space group R-3m (No. 166, hexagonal axes)
Unique sites:
Ba (0.0000, 0.0000, 0.1204)
Ba (0.0000, 0.0000, 0.3707)
Na (0.0000, 0.0000, 0.5000)
Tl (0.0000, 0.0000, 0.0000)
Pb (0.0000, 0.0000, 0.2456)

Peak list (6 most intense, 2θ = 15–90°, by angle)
29.10 deg, I 100, (1 1 0)
41.63 deg, I 19, (2 0 8)
51.55 deg, I 31, (3 0 0)
51.73 deg, I 9, (1 0 16)
68.30 deg, I 9, (3 1 8)
83.20 deg, I 11, (4 1 0)

***

Entry 12:
Structure and simulated powder XRD pattern of NaMg3Ga2 (the GGA-PBE geometry in Alexandria; λ = 1.5418 Å (Cu Kα)).
Intensities are scaled so that the largest is 100.

Structural model:
Cell lengths 4.542, 8.621, 13.842 Å; angles 90.00, 90.00, 90.00 degrees
Space group Immm (No. 71)
Unique sites:
Na (0.000, 0.000, 0.128)
Mg (0.000, 0.197, 0.327)
Mg (0.000, 0.331, 0.000)
Ga (0.000, 0.356, 0.500)
Ga (0.000, 0.500, 0.196)

Peak list (6 most intense, 2θ = 15–90°, by angle)
21.85 deg, I 67, (0 1 3)
22.12 deg, I 60, (1 1 0)
34.19 deg, I 53, (1 1 4)
34.66 deg, I 65, (1 2 3)
39.32 deg, I 100, (1 3 2)
39.69 deg, I 50, (2 0 0)